Starting from DFT lattice parameters and positions (PBE), the PXRD pattern of Tb2Dy5Sb4 was simulated for copper Kα.
No peak broadening, texture or thermal motion is included.

Structure:
Lattice parameters (Å, degrees): 13.0915 13.0915 7.3136 91.27 91.27 15.90
Sites, in units of the cell vectors:
Tb 0.2357 0.2357 0.2793
Tb 0.7643 0.7643 0.7207
Dy 0.0896 0.0896 0.1931
Dy 0.1400 0.1400 0.6603
Dy 0.5000 0.5000 0.5000
Dy 0.8600 0.8600 0.3397
Dy 0.9104 0.9104 0.8069
Sb 0.0323 0.0323 0.8185
Sb 0.3278 0.3278 0.0021
Sb 0.6722 0.6722 0.9979
Sb 0.9677 0.9677 0.1815

Main lines, by intensity (10 to 80 degrees two-theta):
2θ 29.9, rel. 100; 2θ 29.5, rel. 80; 2θ 32.4, rel. 78; 2θ 35.1, rel. 56; 2θ 59.7, rel. 37; 2θ 36.6, rel. 36; 2θ 42.2, rel. 34; 2θ 24.8, rel. 34